Computed powder diffraction line list
Compound: SmSiPd
Radiation: copper Kα
Structure: a DFT-relaxed cell (GGA-PBE, the Materials Project)
No peak broadening, texture or thermal motion is included.

Most intense lines, 10° ≤ 2θ ≤ 90°, sorted by position:
2theta  d (Å)  Rel. int.  h k l
23.41  3.800  19  0 1 1
23.76  3.745  18  0 0 2
33.77  2.654  30  3 1 2
34.37  2.609  100  6 1 1
34.59  2.593  43  6 0 2
39.54  2.279  13  9 0 1
40.95  2.204  31  0 2 0
41.51  2.175  43  0 1 3
54.66  1.679  29  6 2 2
66.84  1.400  17  9 1 4

Structural model:
```
data_SmSiPd
_symmetry_space_group_name_H-M 'P 1'
_symmetry_Int_Tables_number 1
_symmetry_space_group_name_Hall 'P 1'
_cell_length_a 21.5287
_cell_length_b 4.4076
_cell_length_c 7.5032
_cell_angle_alpha 90.00
_cell_angle_beta 90.00
_cell_angle_gamma 90.00
loop_
_atom_site_label
_atom_site_fract_x
_atom_site_fract_y
_atom_site_fract_z
Sm1 0.0019 0.2500 0.2132
Sm2 0.1663 0.2500 0.2929
Sm3 0.1671 0.7500 0.7061
Sm4 0.3329 0.2500 0.2061
Sm5 0.3337 0.7500 0.7929
Sm6 0.4981 0.7500 0.7132
Sm7 0.5019 0.2500 0.2868
Sm8 0.6663 0.2500 0.2071
Sm9 0.6671 0.7500 0.7939
Sm10 0.8329 0.2500 0.2939
Sm11 0.8337 0.7500 0.7071
Sm12 0.9981 0.7500 0.7868
Si1 0.0709 0.2500 0.5888
Si2 0.1055 0.7500 0.0842
Si3 0.2279 0.7500 0.0836
Si4 0.2721 0.2500 0.5836
Si5 0.3945 0.2500 0.5842
Si6 0.4291 0.7500 0.0888
Si7 0.5709 0.2500 0.9112
Si8 0.6055 0.7500 0.4158
Si9 0.7279 0.7500 0.4164
Si10 0.7721 0.2500 0.9164
Si11 0.8945 0.2500 0.9158
Si12 0.9291 0.7500 0.4112
Pd1 0.0639 0.7500 0.4169
Pd2 0.0936 0.2500 0.9200
Pd3 0.2372 0.2500 0.9167
Pd4 0.2628 0.7500 0.4167
Pd5 0.4064 0.7500 0.4200
Pd6 0.4361 0.2500 0.9169
Pd7 0.5639 0.7500 0.0831
Pd8 0.5936 0.2500 0.5800
Pd9 0.7372 0.2500 0.5833
Pd10 0.7628 0.7500 0.0833
Pd11 0.9064 0.7500 0.0800
Pd12 0.9361 0.2500 0.5831
```